# VBiBrO4
Simulated powder XRD pattern, CuKα. Input: a GGA+U-relaxed structure.

Peak list (12 most intense, 2θ from 5° to 70°, low angle first)
two_theta, Rel. int.
15.41, 24
17.95, 26
21.36, 43
26.47, 16
26.79, 100
27.58, 19
29.19, 27
32.24, 32
32.39, 15
34.10, 20
41.51, 18
46.54, 15

Atomic structure:
Unit cell a=6.7704 b=6.7704 c=6.9044 alpha=101.06 beta=101.06 gamma=59.00
Sites, in units of the cell vectors:
V  0.1324  0.1324  0.2655
V  0.8676  0.8676  0.7345
Bi  0.2104  0.2104  0.8342
Bi  0.7896  0.7896  0.1658
Br  0.4788  0.4788  0.3296
Br  0.5212  0.5212  0.6704
O  0.0155  0.0155  0.7488
O  0.0304  0.6222  0.8683
O  0.2080  0.2080  0.5100
O  0.3778  0.9696  0.1317
O  0.6222  0.0304  0.8683
O  0.7920  0.7920  0.4900
O  0.9696  0.3778  0.1317
O  0.9845  0.9845  0.2512